Record 1
The following is a computed X-ray diffraction stick pattern of SrCr2Mo. It was derived from the PBE geometry in Alexandria, using Cu Kα, 1.54184 Å.

Structure:
Unit cell a=9.032 b=3.139 c=6.077 alpha=90.00 beta=102.56 gamma=90.00
Fractional positions:
Sr 0.000 0.000 0.000
Sr 0.500 0.500 0.000
Cr 0.217 0.000 0.612
Cr 0.283 0.500 0.388
Cr 0.717 0.500 0.612
Cr 0.783 0.000 0.388
Mo 0.000 0.500 0.500
Mo 0.500 0.000 0.500

Top 8 peaks for 2θ from 10° to 90°, in order of rising 2θ:
- 2θ = 14.94°, I 66
- 2θ = 20.15°, I 26
- 2θ = 30.14°, I 55
- 2θ = 32.52°, I 48
- 2θ = 34.88°, I 100
- 2θ = 40.95°, I 38
- 2θ = 42.47°, I 84
- 2θ = 57.97°, I 31

---

Record 2
The following is a computed X-ray diffraction stick pattern of Ta6CrMo. It was derived from the PBE geometry in Alexandria, using Cu Kα, 1.54184 Å.

Structure:
Unit cell a=4.546 b=4.546 c=13.273 alpha=90.00 beta=90.00 gamma=90.00
Fractional positions:
Ta 0.000 0.000 0.248
Ta 0.000 0.000 0.752
Ta 0.000 0.500 0.117
Ta 0.000 0.500 0.383
Ta 0.000 0.500 0.617
Ta 0.000 0.500 0.883
Ta 0.500 0.000 0.117
Ta 0.500 0.000 0.383
Ta 0.500 0.000 0.617
Ta 0.500 0.000 0.883
Ta 0.500 0.500 0.252
Ta 0.500 0.500 0.748
Cr 0.000 0.000 0.000
Cr 0.500 0.500 0.500
Mo 0.000 0.000 0.500
Mo 0.500 0.500 0.000

Top 8 peaks for 2θ from 10° to 90°, in order of rising 2θ:
- 2θ = 30.91°, I 9
- 2θ = 39.01°, I 100
- 2θ = 39.65°, I 49
- 2θ = 55.37°, I 8
- 2θ = 57.33°, I 17
- 2θ = 70.24°, I 17
- 2θ = 71.53°, I 34
- 2θ = 83.80°, I 11

---

Record 3
The following is a computed X-ray diffraction stick pattern of CrTcMo14. It was derived from the PBE geometry in Alexandria, using Cu Kα, 1.54184 Å.

Structure:
Unit cell a=6.294 b=6.294 c=6.289 alpha=90.00 beta=90.00 gamma=90.00
Fractional positions:
Cr 0.000 0.000 0.000
Tc 0.500 0.500 0.000
Mo 0.000 0.000 0.500
Mo 0.000 0.500 0.000
Mo 0.000 0.500 0.500
Mo 0.248 0.248 0.248
Mo 0.248 0.248 0.752
Mo 0.248 0.752 0.248
Mo 0.248 0.752 0.752
Mo 0.500 0.000 0.000
Mo 0.500 0.000 0.500
Mo 0.500 0.500 0.500
Mo 0.752 0.248 0.248
Mo 0.752 0.248 0.752
Mo 0.752 0.752 0.248
Mo 0.752 0.752 0.752

Top 6 peaks for 2θ from 10° to 90°, in order of rising 2θ:
- 2θ = 19.96°, I 1
- 2θ = 31.80°, I 1
- 2θ = 40.55°, I 100
- 2θ = 58.69°, I 16
- 2θ = 73.77°, I 33
- 2θ = 87.74°, I 11

---

Record 4
The following is a computed X-ray diffraction stick pattern of CrTe6Mo. It was derived from the PBE geometry in Alexandria, using Cu Kα, 1.54184 Å.

Structure:
Unit cell a=6.306 b=6.709 c=6.728 alpha=68.35 beta=64.60 gamma=62.01
Fractional positions:
Cr 0.000 0.000 0.000
Te 0.041 0.788 0.707
Te 0.291 0.588 0.185
Te 0.403 0.105 0.698
Te 0.597 0.895 0.302
Te 0.709 0.412 0.815
Te 0.959 0.212 0.293
Mo 0.500 0.500 0.500

Top 8 peaks for 2θ from 10° to 90°, in order of rising 2θ:
- 2θ = 26.83°, I 50
- 2θ = 28.33°, I 42
- 2θ = 29.16°, I 100
- 2θ = 29.68°, I 88
- 2θ = 31.55°, I 39
- 2θ = 31.72°, I 98
- 2θ = 32.46°, I 65
- 2θ = 46.29°, I 47

---

Record 5
The following is a computed X-ray diffraction stick pattern of Tl2CrMo. It was derived from the PBE geometry in Alexandria, using Cu Kα, 1.54184 Å.

Structure:
Unit cell a=3.135 b=3.134 c=8.470 alpha=90.00 beta=99.90 gamma=90.00
Fractional positions:
Tl 0.000 0.000 0.000
Tl 0.175 0.500 0.348
Cr 0.397 0.500 0.754
Mo 0.778 0.000 0.611

Top 8 peaks for 2θ from 10° to 90°, in order of rising 2θ:
- 2θ = 29.05°, I 49
- 2θ = 30.47°, I 67
- 2θ = 32.18°, I 64
- 2θ = 35.83°, I 100
- 2θ = 39.16°, I 52
- 2θ = 39.71°, I 46
- 2θ = 41.03°, I 43
- 2θ = 41.13°, I 44

---

Record 6
The following is a computed X-ray diffraction stick pattern of V2Cr4Mo3. It was derived from the PBE geometry in Alexandria, using Cu Kα, 1.54184 Å.

Structure:
Unit cell a=4.237 b=4.237 c=7.776 alpha=90.00 beta=90.00 gamma=120.00
Fractional positions:
V 0.333 0.667 0.216
V 0.667 0.333 0.784
Cr 0.000 0.000 0.331
Cr 0.000 0.000 0.669
Cr 0.333 0.667 0.890
Cr 0.667 0.333 0.110
Mo 0.000 0.000 0.000
Mo 0.333 0.667 0.562
Mo 0.667 0.333 0.438

Top 8 peaks for 2θ from 10° to 90°, in order of rising 2θ:
- 2θ = 22.87°, I 3
- 2θ = 26.86°, I 8
- 2θ = 33.58°, I 2
- 2θ = 42.69°, I 100
- 2θ = 48.96°, I 2
- 2θ = 51.15°, I 1
- 2θ = 61.96°, I 15
- 2θ = 78.17°, I 30

---

Record 7
The following is a computed X-ray diffraction stick pattern of V2Cr2Mo. It was derived from the PBE geometry in Alexandria, using Cu Kα, 1.54184 Å.

Structure:
Unit cell a=2.971 b=4.223 c=10.564 alpha=90.00 beta=97.81 gamma=90.00
Fractional positions:
V 0.048 0.250 0.096
V 0.248 0.250 0.496
V 0.752 0.750 0.504
V 0.952 0.750 0.904
Cr 0.351 0.750 0.702
Cr 0.452 0.250 0.904
Cr 0.548 0.750 0.096
Cr 0.649 0.250 0.298
Mo 0.147 0.750 0.294
Mo 0.853 0.250 0.706

Top 8 peaks for 2θ from 10° to 90°, in order of rising 2θ:
- 2θ = 42.83°, I 51
- 2θ = 42.97°, I 100
- 2θ = 43.12°, I 98
- 2θ = 43.22°, I 48
- 2θ = 62.50°, I 44
- 2θ = 78.55°, I 15
- 2θ = 78.79°, I 22
- 2θ = 79.29°, I 21

---

Record 8
The following is a computed X-ray diffraction stick pattern of V3CrMo6. It was derived from the PBE geometry in Alexandria, using Cu Kα, 1.54184 Å.

Structure:
Unit cell a=2.659 b=6.785 c=8.803 alpha=71.22 beta=89.27 gamma=82.24
Fractional positions:
V 0.000 0.000 0.000
V 0.234 0.397 0.409
V 0.735 0.599 0.103
Cr 0.773 0.594 0.609
Mo 0.024 0.993 0.508
Mo 0.177 0.399 0.903
Mo 0.385 0.794 0.807
Mo 0.553 0.203 0.204
Mo 0.591 0.204 0.703
Mo 0.885 0.786 0.305

Top 8 peaks for 2θ from 10° to 90°, in order of rising 2θ:
- 2θ = 40.89°, I 50
- 2θ = 41.03°, I 100
- 2θ = 41.15°, I 27
- 2θ = 41.38°, I 27
- 2θ = 41.65°, I 26
- 2θ = 74.50°, I 16
- 2θ = 74.84°, I 13
- 2θ = 75.44°, I 11

---

Record 9
The following is a computed X-ray diffraction stick pattern of VCrMo6. It was derived from the PBE geometry in Alexandria, using Cu Kα, 1.54184 Å.

Structure:
Unit cell a=4.960 b=4.962 c=4.962 alpha=90.09 beta=90.02 gamma=90.03
Fractional positions:
V 0.000 0.000 0.000
Cr 0.500 0.500 0.500
Mo 0.000 0.500 0.250
Mo 0.000 0.500 0.750
Mo 0.250 0.000 0.500
Mo 0.500 0.250 0.000
Mo 0.500 0.750 0.000
Mo 0.750 0.000 0.500

Top 8 peaks for 2θ from 10° to 90°, in order of rising 2θ:
- 2θ = 25.39°, I 10
- 2θ = 36.21°, I 20
- 2θ = 40.66°, I 100
- 2θ = 44.74°, I 44
- 2θ = 65.11°, I 9
- 2θ = 68.13°, I 17
- 2θ = 71.08°, I 15
- 2θ = 76.85°, I 11

---

Record 10
The following is a computed X-ray diffraction stick pattern of V4CrMo2. It was derived from the PBE geometry in Alexandria, using Cu Kα, 1.54184 Å.

Structure:
Unit cell a=5.180 b=5.848 c=7.355 alpha=90.73 beta=101.56 gamma=109.78
Fractional positions:
V 0.150 0.221 0.233
V 0.163 0.166 0.642
V 0.181 0.714 0.154
V 0.336 0.759 0.773
V 0.664 0.241 0.227
V 0.819 0.286 0.846
V 0.837 0.834 0.358
V 0.850 0.779 0.767
Cr 0.258 0.065 0.959
Cr 0.742 0.935 0.041
Mo 0.000 0.500 0.500
Mo 0.500 0.000 0.500
Mo 0.500 0.500 0.000
Mo 0.500 0.500 0.500

Top 8 peaks for 2θ from 10° to 90°, in order of rising 2θ:
- 2θ = 24.81°, I 24
- 2θ = 33.62°, I 26
- 2θ = 34.42°, I 25
- 2θ = 39.57°, I 100
- 2θ = 40.67°, I 89
- 2θ = 40.95°, I 26
- 2θ = 42.54°, I 41
- 2θ = 43.24°, I 34

---

Record 11
The following is a computed X-ray diffraction stick pattern of V5Cr4Mo2. It was derived from the PBE geometry in Alexandria, using Cu Kα, 1.54184 Å.

Structure:
Unit cell a=8.966 b=8.966 c=8.966 alpha=163.09 beta=132.52 gamma=50.76
Fractional positions:
V 0.000 0.000 0.000
V 0.045 0.358 0.687
V 0.329 0.642 0.687
V 0.671 0.358 0.313
V 0.955 0.642 0.313
Cr 0.288 0.500 0.788
Cr 0.415 0.915 0.500
Cr 0.585 0.085 0.500
Cr 0.712 0.500 0.212
Mo 0.273 0.773 0.500
Mo 0.727 0.227 0.500

Top 8 peaks for 2θ from 10° to 90°, in order of rising 2θ:
- 2θ = 36.27°, I 61
- 2θ = 37.99°, I 60
- 2θ = 40.95°, I 58
- 2θ = 41.06°, I 63
- 2θ = 41.77°, I 56
- 2θ = 42.84°, I 100
- 2θ = 49.97°, I 33
- 2θ = 52.62°, I 54

---

Record 12
The following is a computed X-ray diffraction stick pattern of CrMo5W2. It was derived from the PBE geometry in Alexandria, using Cu Kα, 1.54184 Å.

Structure:
Unit cell a=5.426 b=4.434 c=10.454 alpha=90.00 beta=99.73 gamma=90.00
Fractional positions:
Cr 0.000 0.000 0.000
Cr 0.000 0.000 0.500
Mo 0.124 0.500 0.377
Mo 0.248 0.000 0.249
Mo 0.248 0.000 0.749
Mo 0.373 0.500 0.124
Mo 0.500 0.000 0.000
Mo 0.500 0.000 0.500
Mo 0.627 0.500 0.876
Mo 0.752 0.000 0.251
Mo 0.752 0.000 0.751
Mo 0.876 0.500 0.623
W 0.123 0.500 0.877
W 0.373 0.500 0.624
W 0.627 0.500 0.376
W 0.877 0.500 0.123

Top 8 peaks for 2θ from 10° to 90°, in order of rising 2θ:
- 2θ = 20.00°, I 17
- 2θ = 28.42°, I 8
- 2θ = 40.52°, I 100
- 2θ = 40.73°, I 99
- 2θ = 58.80°, I 33
- 2θ = 73.56°, I 17
- 2θ = 73.95°, I 22
- 2θ = 74.08°, I 22

---

Record 13
The following is a computed X-ray diffraction stick pattern of Cr3Mo3W. It was derived from the PBE geometry in Alexandria, using Cu Kα, 1.54184 Å.

Structure:
Unit cell a=6.673 b=6.673 c=6.673 alpha=61.42 beta=61.42 gamma=61.42
Fractional positions:
Cr 0.122 0.378 0.621
Cr 0.378 0.621 0.122
Cr 0.379 0.878 0.622
Cr 0.621 0.122 0.378
Cr 0.622 0.379 0.878
Cr 0.878 0.622 0.379
Mo 0.135 0.863 0.362
Mo 0.137 0.638 0.865
Mo 0.362 0.135 0.863
Mo 0.638 0.865 0.137
Mo 0.863 0.362 0.135
Mo 0.865 0.137 0.638
W 0.255 0.255 0.255
W 0.745 0.745 0.745

Top 8 peaks for 2θ from 10° to 90°, in order of rising 2θ:
- 2θ = 18.61°, I 92
- 2θ = 32.29°, I 41
- 2θ = 37.74°, I 64
- 2θ = 42.01°, I 100
- 2θ = 42.78°, I 89
- 2θ = 46.14°, I 34
- 2θ = 46.50°, I 66
- 2θ = 47.56°, I 30

---

Record 14
The following is a computed X-ray diffraction stick pattern of CrMoW. It was derived from the PBE geometry in Alexandria, using Cu Kα, 1.54184 Å.

Structure:
Unit cell a=9.226 b=4.354 c=5.350 alpha=90.00 beta=125.03 gamma=90.00
Fractional positions:
Cr 0.000 0.000 0.000
Cr 0.167 0.500 0.501
Cr 0.500 0.500 0.000
Cr 0.667 0.000 0.501
Mo 0.164 0.500 0.999
Mo 0.329 0.000 0.499
Mo 0.664 0.000 0.999
Mo 0.829 0.500 0.499
W 0.001 0.000 0.498
W 0.338 0.000 0.004
W 0.501 0.500 0.498
W 0.838 0.500 0.004

Top 8 peaks for 2θ from 10° to 90°, in order of rising 2θ:
- 2θ = 20.41°, I 9
- 2θ = 23.57°, I 7
- 2θ = 26.39°, I 11
- 2θ = 41.22°, I 22
- 2θ = 41.45°, I 100
- 2θ = 59.90°, I 13
- 2θ = 75.55°, I 7
- 2θ = 75.63°, I 13